No. 1
Structure and simulated XRD peak list of DyF3 (a structure optimized by DFT (PBE); a wavelength of 1.5418 Å).
Peak positions follow from Bragg's law for the DFT cell and can differ from measured ones.

Atomic structure:
Unit cell a=6.837 b=6.837 c=7.023 alpha=90.00 beta=90.00 gamma=120.00
Fractional positions:
Dy1 0.000 0.345 0.250
Dy2 0.000 0.655 0.750
Dy3 0.345 0.000 0.250
Dy4 0.345 0.345 0.750
Dy5 0.655 0.000 0.750
Dy6 0.655 0.655 0.250
F1 0.000 0.000 0.250
F2 0.000 0.000 0.750
F3 0.067 0.374 0.921
F4 0.067 0.693 0.421
F5 0.307 0.374 0.421
F6 0.307 0.933 0.921
F7 0.333 0.667 0.184
F8 0.333 0.667 0.684
F9 0.374 0.067 0.579
F10 0.374 0.307 0.079
F11 0.626 0.693 0.921
F12 0.626 0.933 0.421
F13 0.667 0.333 0.316
F14 0.667 0.333 0.816
F15 0.693 0.067 0.079
F16 0.693 0.626 0.579
F17 0.933 0.307 0.579
F18 0.933 0.626 0.079

Peak list (10 most intense, 10 to 90 degrees two-theta, most intense first)
2θ = 29.05°, rel. 100; 2θ = 47.05°, rel. 48; 2θ = 45.98°, rel. 37; 2θ = 25.37°, rel. 37; 2θ = 53.24°, rel. 31; 2θ = 26.07°, rel. 26; 2θ = 55.31°, rel. 18; 2θ = 74.70°, rel. 15; 2θ = 67.90°, rel. 13; 2θ = 85.92°, rel. 13


No. 2
Structure and simulated XRD peak list of Ca2As (a structure optimized by DFT (PBE); a wavelength of 1.5418 Å).
Peak positions follow from Bragg's law for the DFT cell and can differ from measured ones.

Atomic structure:
Unit cell a=8.571 b=8.571 c=8.571 alpha=149.06 beta=149.06 gamma=44.32
Fractional positions:
Ca1 0.000 0.500 0.500
Ca2 0.179 0.179 0.000
Ca3 0.500 0.000 0.500
Ca4 0.821 0.821 0.000
As1 0.366 0.366 0.000
As2 0.634 0.634 0.000

Peak list (10 most intense, 10 to 90 degrees two-theta, most intense first)
2θ = 35.82°, rel. 100; 2θ = 29.84°, rel. 64; 2θ = 39.41°, rel. 62; 2θ = 27.59°, rel. 38; 2θ = 34.39°, rel. 35; 2θ = 20.21°, rel. 29; 2θ = 69.14°, rel. 27; 2θ = 44.62°, rel. 26; 2θ = 52.93°, rel. 21; 2θ = 33.88°, rel. 21


No. 3
Structure and simulated XRD peak list of LiGa5O8 (a structure optimized by DFT (PBE); a wavelength of 1.5418 Å).
Peak positions follow from Bragg's law for the DFT cell and can differ from measured ones.

Atomic structure:
Unit cell a=8.323 b=8.323 c=8.323 alpha=90.00 beta=90.00 gamma=90.00
Fractional positions:
Li1 0.125 0.125 0.125
Li2 0.375 0.875 0.625
Li3 0.625 0.375 0.875
Li4 0.875 0.625 0.375
Ga1 0.003 0.503 0.997
Ga2 0.116 0.375 0.366
Ga3 0.125 0.634 0.616
Ga4 0.134 0.884 0.875
Ga5 0.247 0.253 0.747
Ga6 0.253 0.747 0.247
Ga7 0.366 0.116 0.375
Ga8 0.375 0.366 0.116
Ga9 0.384 0.625 0.866
Ga10 0.497 0.497 0.497
Ga11 0.503 0.997 0.003
Ga12 0.616 0.125 0.634
Ga13 0.625 0.866 0.384
Ga14 0.634 0.616 0.125
Ga15 0.747 0.247 0.253
Ga16 0.753 0.753 0.753
Ga17 0.866 0.384 0.625
Ga18 0.875 0.134 0.884
Ga19 0.884 0.875 0.134
Ga20 0.997 0.003 0.503
O1 0.113 0.387 0.613
O2 0.116 0.118 0.873
O3 0.118 0.873 0.116
O4 0.123 0.868 0.634
O5 0.127 0.616 0.382
O6 0.132 0.134 0.377
O7 0.134 0.377 0.132
O8 0.137 0.637 0.863
O9 0.363 0.363 0.363
O10 0.366 0.623 0.632
O11 0.368 0.866 0.877
O12 0.373 0.384 0.882
O13 0.377 0.132 0.134
O14 0.382 0.127 0.616
O15 0.384 0.882 0.373
O16 0.387 0.613 0.113
O17 0.613 0.113 0.387
O18 0.616 0.382 0.127
O19 0.618 0.627 0.884
O20 0.623 0.632 0.366
O21 0.627 0.884 0.618
O22 0.632 0.366 0.623
O23 0.634 0.123 0.868
O24 0.637 0.863 0.137
O25 0.863 0.137 0.637
O26 0.866 0.877 0.368
O27 0.868 0.634 0.123
O28 0.873 0.116 0.118
O29 0.877 0.368 0.866
O30 0.882 0.373 0.384
O31 0.884 0.618 0.627
O32 0.887 0.887 0.887

Peak list (10 most intense, 10 to 90 degrees two-theta, most intense first)
2θ = 35.78°, rel. 100; 2θ = 63.20°, rel. 43; 2θ = 30.38°, rel. 37; 2θ = 57.54°, rel. 34; 2θ = 53.97°, rel. 14; 2θ = 23.91°, rel. 14; 2θ = 43.50°, rel. 12; 2θ = 74.81°, rel. 11; 2θ = 26.23°, rel. 10; 2θ = 15.05°, rel. 9


No. 4
Structure and simulated XRD peak list of AgAu2F8 (a structure optimized by DFT (PBE); a wavelength of 1.5418 Å).
Peak positions follow from Bragg's law for the DFT cell and can differ from measured ones.

Atomic structure:
Unit cell a=5.541 b=11.385 c=7.656 alpha=90.00 beta=132.34 gamma=90.00
Fractional positions:
Ag1 0.000 0.000 0.000
Ag2 0.000 0.500 0.500
Au1 0.244 0.180 0.513
Au2 0.244 0.320 0.013
Au3 0.756 0.680 0.987
Au4 0.756 0.820 0.487
F1 0.058 0.725 0.770
F2 0.058 0.775 0.270
F3 0.095 0.032 0.330
F4 0.095 0.468 0.830
F5 0.391 0.174 0.195
F6 0.391 0.326 0.695
F7 0.465 0.587 0.690
F8 0.465 0.913 0.190
F9 0.535 0.087 0.810
F10 0.535 0.413 0.310
F11 0.609 0.674 0.305
F12 0.609 0.826 0.805
F13 0.905 0.532 0.170
F14 0.905 0.968 0.670
F15 0.942 0.225 0.730
F16 0.942 0.275 0.230

Peak list (10 most intense, 10 to 90 degrees two-theta, most intense first)
2θ = 23.08°, rel. 100; 2θ = 28.32°, rel. 98; 2θ = 24.54°, rel. 78; 2θ = 22.42°, rel. 77; 2θ = 36.10°, rel. 51; 2θ = 32.39°, rel. 28; 2θ = 47.45°, rel. 25; 2θ = 31.62°, rel. 25; 2θ = 53.96°, rel. 25; 2θ = 49.03°, rel. 22


No. 5
Structure and simulated XRD peak list of Rb2HgIrF6 (a structure optimized by DFT (PBE); a wavelength of 1.5418 Å).
Peak positions follow from Bragg's law for the DFT cell and can differ from measured ones.

Atomic structure:
Unit cell a=6.869 b=6.869 c=6.869 alpha=60.00 beta=60.00 gamma=60.00
Fractional positions:
Rb1 0.250 0.250 0.250
Rb2 0.750 0.750 0.750
Hg1 0.000 0.000 0.000
Ir1 0.500 0.500 0.500
F1 0.297 0.297 0.703
F2 0.297 0.703 0.297
F3 0.297 0.703 0.703
F4 0.703 0.297 0.297
F5 0.703 0.297 0.703
F6 0.703 0.703 0.297

Peak list (10 most intense, 10 to 90 degrees two-theta, most intense first)
2θ = 25.94°, rel. 100; 2θ = 45.76°, rel. 41; 2θ = 37.02°, rel. 30; 2θ = 18.27°, rel. 27; 2θ = 72.87°, rel. 24; 2θ = 60.26°, rel. 22; 2θ = 53.35°, rel. 19; 2θ = 41.58°, rel. 12; 2θ = 84.66°, rel. 12; 2θ = 66.71°, rel. 6


No. 6
Structure and simulated XRD peak list of Ce4Y6O17 (a structure optimized by DFT (PBE); a wavelength of 1.5418 Å).
Peak positions follow from Bragg's law for the DFT cell and can differ from measured ones.

Atomic structure:
Unit cell a=32.219 b=32.219 c=32.219 alpha=6.74 beta=6.74 gamma=6.74
Fractional positions:
Ce1 0.000 0.000 0.000
Ce2 0.100 0.100 0.100
Ce3 0.400 0.400 0.400
Ce4 0.700 0.700 0.700
Y1 0.200 0.200 0.200
Y2 0.302 0.302 0.302
Y3 0.502 0.502 0.502
Y4 0.600 0.600 0.600
Y5 0.800 0.800 0.800
Y6 0.902 0.902 0.902
O1 0.026 0.026 0.026
O2 0.076 0.076 0.076
O3 0.129 0.129 0.129
O4 0.176 0.176 0.176
O5 0.222 0.222 0.222
O6 0.326 0.326 0.326
O7 0.376 0.376 0.376
O8 0.426 0.426 0.426
O9 0.529 0.529 0.529
O10 0.576 0.576 0.576
O11 0.622 0.622 0.622
O12 0.676 0.676 0.676
O13 0.726 0.726 0.726
O14 0.776 0.776 0.776
O15 0.822 0.822 0.822
O16 0.929 0.929 0.929
O17 0.976 0.976 0.976

Peak list (10 most intense, 10 to 90 degrees two-theta, most intense first)
2θ = 28.74°, rel. 100; 2θ = 33.02°, rel. 38; 2θ = 48.03°, rel. 37; 2θ = 46.76°, rel. 36; 2θ = 27.75°, rel. 36; 2θ = 56.37°, rel. 29; 2θ = 55.25°, rel. 15; 2θ = 56.93°, rel. 14; 2θ = 77.61°, rel. 11; 2θ = 88.69°, rel. 10